Record 1
Diffraction record for Co8Ni2Pd. The XRD peak list is simulated, not measured: it uses the GGA-PBE geometry in Alexandria and Cu Kα.
Intensities are scaled so that the largest is 100.

Largest 10 diffraction maxima, in order of rising 2θ, 5° ≤ 2θ ≤ 70°:
2θ (°), Rel. int., index
38.8, 32, 3 1 -1
41.1, 42, 2 0 -3
41.4, 70, 0 0 3
41.7, 45, 2 0 2
43.6, 46, 2 2 -1
43.7, 55, 2 2 0
45.8, 51, 4 0 -1
46.0, 100, 0 2 2
47.9, 46, 2 2 -2
48.2, 51, 2 2 1

```
data_Co8Ni2Pd
_cell_length_a 7.920
_cell_length_b 4.956
_cell_length_c 6.860
_cell_angle_alpha 90.00
_cell_angle_beta 107.59
_cell_angle_gamma 90.00
_space_group_name_H-M_alt 'C 1 2/m 1'
_space_group_IT_number 12
_space_group_name_Hall '-C 2y'
loop_
_atom_site_label
_atom_site_type_symbol
_atom_site_fract_x
_atom_site_fract_y
_atom_site_fract_z
Co1 Co 0.100 0.000 0.400
Co2 Co 0.144 0.500 0.000
Co3 Co 0.184 0.252 0.719
Ni1 Ni 0.089 0.500 0.374
Pd1 Pd 0.000 0.000 0.000
```



Record 2
Diffraction record for Co5Ni4Pd. The XRD peak list is simulated, not measured: it uses the GGA-PBE geometry in Alexandria and Cu Kα.
Intensities are scaled so that the largest is 100.

Largest 10 diffraction maxima, in order of rising 2θ, 5° ≤ 2θ ≤ 70°:
2θ (°), Rel. int., index
40.0, 39, 1 1 0
40.7, 36, -2 1 1
41.0, 53, 1 -2 1
42.0, 74, 0 0 3
44.5, 31, 0 2 -1
44.9, 45, -2 1 2
46.7, 100, 2 -1 1
47.0, 24, -1 1 3
48.3, 63, 1 1 -3
51.6, 29, -1 2 2

```
data_Co5Ni4Pd
_cell_length_a 4.473
_cell_length_b 4.557
_cell_length_c 6.817
_cell_angle_alpha 96.64
_cell_angle_beta 102.73
_cell_angle_gamma 116.42
_space_group_name_H-M_alt 'P 1'
_space_group_IT_number 1
_space_group_name_Hall 'P 1'
loop_
_atom_site_label
_atom_site_type_symbol
_atom_site_fract_x
_atom_site_fract_y
_atom_site_fract_z
Co1 Co 0.000 0.000 0.000
Co2 Co 0.047 0.540 0.107
Co3 Co 0.513 0.508 0.039
Co4 Co 0.574 0.050 0.156
Co5 Co 0.903 0.505 0.426
Ni1 Ni 0.037 0.247 0.703
Ni2 Ni 0.183 0.098 0.378
Ni3 Ni 0.530 0.758 0.423
Ni4 Ni 0.678 0.531 0.714
Pd1 Pd 0.391 0.923 0.764
```



Record 3
Diffraction record for Co2Ni5Pd. The XRD peak list is simulated, not measured: it uses the GGA-PBE geometry in Alexandria and Cu Kα.
Intensities are scaled so that the largest is 100.

Largest 10 diffraction maxima, in order of rising 2θ, 5° ≤ 2θ ≤ 70°:
2θ (°), Rel. int., index
17.5, 1, 0 2 0
19.5, 1, 1 1 0
24.9, 1, 0 0 1
30.6, 1, 0 2 1
31.8, 3, 1 3 0
35.3, 1, 2 0 0
43.7, 100, 2 0 1
50.8, 31, 2 4 0
51.1, 16, 0 0 2
67.0, 1, 3 3 1

```
data_Co2Ni5Pd
_cell_length_a 5.087
_cell_length_b 10.156
_cell_length_c 3.576
_cell_angle_alpha 90.00
_cell_angle_beta 90.00
_cell_angle_gamma 90.00
_space_group_name_H-M_alt 'P b a m'
_space_group_IT_number 55
_space_group_name_Hall '-P 2 2ab'
loop_
_atom_site_label
_atom_site_type_symbol
_atom_site_fract_x
_atom_site_fract_y
_atom_site_fract_z
Co1 Co 0.240 0.130 0.000
Ni1 Ni 0.000 0.000 0.500
Ni2 Ni 0.000 0.246 0.500
Ni3 Ni 0.243 0.871 0.000
Pd1 Pd 0.000 0.500 0.500
```



Record 4
Diffraction record for CoNi3Pd2. The XRD peak list is simulated, not measured: it uses the GGA-PBE geometry in Alexandria and Cu Kα.
Intensities are scaled so that the largest is 100.

Largest 10 diffraction maxima, in order of rising 2θ, 5° ≤ 2θ ≤ 70°:
2θ (°), Rel. int., index
13.9, 19, 1 0 1
23.0, 13, 1 1 2
28.1, 29, 2 0 2
40.7, 37, 2 0 4
42.2, 100, 3 2 1
42.7, 33, 3 0 3
43.7, 13, 1 0 5
46.0, 27, 4 0 0
47.0, 28, 2 2 4
49.8, 17, 2 1 5

```
data_CoNi3Pd2
_cell_length_a 7.888
_cell_length_b 7.888
_cell_length_c 10.724
_cell_angle_alpha 90.00
_cell_angle_beta 90.00
_cell_angle_gamma 90.00
_space_group_name_H-M_alt 'I 41/a m d'
_space_group_IT_number 141
loop_
_space_group_symop_operation_xyz
'x,y,z'
'-x,-y,-z'
'-y+1/4,x+3/4,z+1/4'
'y+1/4,-x+3/4,-z+1/4'
'-x+1/2,-y,z+1/2'
'x+1/2,y,-z+1/2'
'y+1/4,-x+1/4,z+3/4'
'-y+1/4,x+1/4,-z+3/4'
'x,-y,-z'
'-x,y,z'
'-y+1/4,-x+1/4,-z+3/4'
'y+1/4,x+1/4,z+3/4'
'-x+1/2,y,-z+1/2'
'x+1/2,-y,z+1/2'
'y+1/4,x+3/4,-z+1/4'
'-y+1/4,-x+3/4,z+1/4'
'x+1/2,y+1/2,z+1/2'
'-x+1/2,-y+1/2,-z+1/2'
'-y+3/4,x+1/4,z+3/4'
'y+3/4,-x+1/4,-z+3/4'
'-x,-y+1/2,z'
'x,y+1/2,-z'
'y+3/4,-x+3/4,z+1/4'
'-y+3/4,x+3/4,-z+1/4'
'x+1/2,-y+1/2,-z+1/2'
'-x+1/2,y+1/2,z+1/2'
'-y+3/4,-x+3/4,-z+1/4'
'y+3/4,x+3/4,z+1/4'
'-x,y+1/2,-z'
'x,-y+1/2,z'
'y+3/4,x+1/4,-z+3/4'
'-y+3/4,-x+1/4,z+3/4'
loop_
_atom_site_label
_atom_site_type_symbol
_atom_site_fract_x
_atom_site_fract_y
_atom_site_fract_z
Co1 Co 0.000 0.250 0.267
Ni1 Ni 0.000 0.000 0.000
Ni2 Ni 0.207 0.043 0.375
Pd1 Pd 0.000 0.067 0.779
```



Record 5
Diffraction record for Co2Ni5Pd6. The XRD peak list is simulated, not measured: it uses the GGA-PBE geometry in Alexandria and Cu Kα.
Intensities are scaled so that the largest is 100.

Largest 10 diffraction maxima, in order of rising 2θ, 5° ≤ 2θ ≤ 70°:
2θ (°), Rel. int., index
37.1, 41, 1 2 1
37.7, 45, 3 3 0
40.2, 21, 0 4 1
43.9, 100, 0 8 0
44.0, 63, 2 3 1
46.5, 20, 2 4 1
47.4, 15, 0 6 1
48.7, 18, 3 1 1
49.5, 29, 2 5 1
69.8, 16, 5 2 1

```
data_Co2Ni5Pd6
_cell_length_a 7.943
_cell_length_b 16.489
_cell_length_c 2.677
_cell_angle_alpha 90.00
_cell_angle_beta 90.00
_cell_angle_gamma 90.00
_space_group_name_H-M_alt 'P b a m'
_space_group_IT_number 55
_space_group_name_Hall '-P 2 2ab'
loop_
_atom_site_label
_atom_site_type_symbol
_atom_site_fract_x
_atom_site_fract_y
_atom_site_fract_z
Co1 Co 0.161 0.235 0.000
Ni1 Ni 0.000 0.500 0.500
Ni2 Ni 0.088 0.755 0.500
Ni3 Ni 0.177 0.007 0.500
Pd1 Pd 0.016 0.893 0.000
Pd2 Pd 0.147 0.616 0.000
Pd3 Pd 0.169 0.368 0.500
```



Record 6
Diffraction record for Co2Ni4Pd. The XRD peak list is simulated, not measured: it uses the GGA-PBE geometry in Alexandria and Cu Kα.
Intensities are scaled so that the largest is 100.

Largest 10 diffraction maxima, in order of rising 2θ, 5° ≤ 2θ ≤ 70°:
2θ (°), Rel. int., index
25.1, 25, 1 1 1
37.5, 100, 1 1 3
39.1, 29, 0 0 4
42.2, 33, 0 4 0
43.4, 85, 0 4 1
44.6, 49, 1 0 4
45.9, 32, 1 1 4
47.3, 67, 2 2 0
48.4, 84, 1 3 3
49.7, 52, 1 2 4

```
data_Co2Ni4Pd
_cell_length_a 4.296
_cell_length_b 8.566
_cell_length_c 9.226
_cell_angle_alpha 90.00
_cell_angle_beta 90.00
_cell_angle_gamma 90.00
_space_group_name_H-M_alt 'P b c a'
_space_group_IT_number 61
_space_group_name_Hall '-P 2ac 2ab'
loop_
_atom_site_label
_atom_site_type_symbol
_atom_site_fract_x
_atom_site_fract_y
_atom_site_fract_z
Co1 Co 0.035 0.049 0.185
Ni1 Ni 0.160 0.723 0.559
Ni2 Ni 0.189 0.693 0.811
Pd1 Pd 0.000 0.000 0.500
```



Record 7
Diffraction record for CoNi2Te6Pd. The XRD peak list is simulated, not measured: it uses the GGA-PBE geometry in Alexandria and Cu Kα.
Intensities are scaled so that the largest is 100.

Largest 10 diffraction maxima, in order of rising 2θ, 5° ≤ 2θ ≤ 70°:
2θ (°), Rel. int., index
18.5, 10, 0 1 2
26.7, 6, 1 0 4
30.8, 100, 2 -1 3
33.3, 7, 0 0 6
42.6, 43, 1 1 6
45.7, 43, 3 0 0
56.1, 17, 2 2 3
57.7, 8, 0 3 6
58.0, 16, 2 -1 9
64.2, 12, 4 -2 6

```
data_CoNi2Te6Pd
_cell_length_a 6.8832
_cell_length_b 6.8832
_cell_length_c 16.1504
_cell_angle_alpha 90.00
_cell_angle_beta 90.00
_cell_angle_gamma 120.00
_space_group_name_H-M_alt 'R 3'
_space_group_IT_number 146
_space_group_name_Hall 'R 3'
loop_
_atom_site_label
_atom_site_type_symbol
_atom_site_fract_x
_atom_site_fract_y
_atom_site_fract_z
Co1 Co 0.0000 0.0000 0.0000
Ni1 Ni 0.0000 0.0000 0.1801
Ni2 Ni 0.0000 0.0000 0.6744
Te1 Te 0.0000 0.3343 0.5916
Te2 Te 0.0273 0.6841 0.7533
Pd1 Pd 0.0000 0.0000 0.4945
```



Record 8
Diffraction record for Pm3Co2Ni4. The XRD peak list is simulated, not measured: it uses the GGA-PBE geometry in Alexandria and Cu Kα.
Intensities are scaled so that the largest is 100.

Largest 8 diffraction maxima, in order of rising 2θ, 5° ≤ 2θ ≤ 70°:
2θ (°), Rel. int., index
25.9, 16, 1 0 0
34.4, 100, 1 0 6
45.4, 13, 0 0 12
45.7, 38, 1 1 0
53.0, 5, 1 0 12
53.2, 2, 2 0 0
58.4, 21, 2 0 6
66.4, 24, 1 1 12

```
data_Pm3Co2Ni4
_cell_length_a 3.9736
_cell_length_b 3.9736
_cell_length_c 23.9698
_cell_angle_alpha 90.00
_cell_angle_beta 90.00
_cell_angle_gamma 120.00
_space_group_name_H-M_alt 'P -6 m 2'
_space_group_IT_number 187
_space_group_name_Hall 'P -6 2'
loop_
_atom_site_label
_atom_site_type_symbol
_atom_site_fract_x
_atom_site_fract_y
_atom_site_fract_z
Pm1 Pm 0.0000 0.0000 0.0839
Pm2 Pm 0.0000 0.0000 0.2479
Pm3 Pm 0.0000 0.0000 0.4159
Co1 Co 0.3333 0.6667 0.5000
Co2 Co 0.6667 0.3333 0.1660
Co3 Co 0.6667 0.3333 0.5000
Ni1 Ni 0.3333 0.6667 0.0000
Ni2 Ni 0.3333 0.6667 0.1660
Ni3 Ni 0.3333 0.6667 0.3321
Ni4 Ni 0.6667 0.3333 0.0000
Ni5 Ni 0.6667 0.3333 0.3320
```



Record 9
Diffraction record for Pm2Co15Ni2. The XRD peak list is simulated, not measured: it uses the GGA-PBE geometry in Alexandria and Cu Kα.
Intensities are scaled so that the largest is 100.

Largest 10 diffraction maxima, in order of rising 2θ, 5° ≤ 2θ ≤ 70°:
2θ (°), Rel. int., index
30.7, 38, 1 1 3
37.2, 42, 3 0 0
38.7, 36, 0 2 4
43.2, 74, 2 2 0
43.6, 100, 3 0 3
44.5, 22, 2 1 4
44.9, 53, 0 0 6
49.0, 27, 2 2 3
63.0, 19, 1 4 3
64.0, 19, 2 2 6

```
data_Pm2Co15Ni2
_cell_length_a 8.3826
_cell_length_b 8.3826
_cell_length_c 12.1206
_cell_angle_alpha 90.00
_cell_angle_beta 90.00
_cell_angle_gamma 120.00
_space_group_name_H-M_alt 'R -3 m'
_space_group_IT_number 166
_space_group_name_Hall '-R 3 2"'
loop_
_atom_site_label
_atom_site_type_symbol
_atom_site_fract_x
_atom_site_fract_y
_atom_site_fract_z
Pm1 Pm 0.0000 0.0000 0.1580
Co1 Co 0.0000 0.2836 0.5000
Co2 Co 0.0000 0.5000 0.0000
Co3 Co 0.0028 0.5014 0.3458
Ni1 Ni 0.0000 0.0000 0.3992
```



Record 10
Diffraction record for Pm2Co5Ni5. The XRD peak list is simulated, not measured: it uses the GGA-PBE geometry in Alexandria and Cu Kα.
Intensities are scaled so that the largest is 100.

Largest 10 diffraction maxima, in order of rising 2θ, 5° ≤ 2θ ≤ 70°:
2θ (°), Rel. int., index
30.4, 21, 1 0 2
30.7, 47, 1 1 1
36.1, 32, 0 1 3
36.9, 15, 0 2 0
41.7, 18, 0 0 4
42.6, 31, 0 2 2
42.8, 100, 1 1 3
43.5, 47, 1 2 0
45.3, 39, 2 0 0
63.9, 18, 2 2 2

```
data_Pm2Co5Ni5
_cell_length_a 4.008
_cell_length_b 4.871
_cell_length_c 8.667
_cell_angle_alpha 90.00
_cell_angle_beta 90.00
_cell_angle_gamma 90.00
_space_group_name_H-M_alt 'P m m m'
_space_group_IT_number 47
_space_group_name_Hall '-P 2 2'
loop_
_atom_site_label
_atom_site_type_symbol
_atom_site_fract_x
_atom_site_fract_y
_atom_site_fract_z
Pm1 Pm 0.000 0.000 0.000
Pm2 Pm 0.000 0.500 0.500
Co1 Co 0.500 0.000 0.500
Co2 Co 0.500 0.251 0.254
Ni1 Ni 0.000 0.000 0.330
Ni2 Ni 0.000 0.500 0.169
Ni3 Ni 0.500 0.500 0.000
```



Record 11
Diffraction record for Pm4Co3Ni. The XRD peak list is simulated, not measured: it uses the GGA-PBE geometry in Alexandria and Cu Kα.
Intensities are scaled so that the largest is 100.

Largest 10 diffraction maxima, in order of rising 2θ, 5° ≤ 2θ ≤ 70°:
2θ (°), Rel. int., index
27.9, 42, 1 0 2
32.7, 24, 0 0 4
33.0, 100, 1 1 1
33.3, 64, 0 1 3
40.1, 22, 1 0 4
40.6, 48, 1 1 3
45.5, 24, 0 2 0
46.0, 23, 2 0 0
55.4, 17, 1 0 6
57.9, 26, 2 1 3

```
data_Pm4Co3Ni
_cell_length_a 3.948
_cell_length_b 3.986
_cell_length_c 10.958
_cell_angle_alpha 90.00
_cell_angle_beta 90.00
_cell_angle_gamma 90.00
_space_group_name_H-M_alt 'P m m 2'
_space_group_IT_number 25
_space_group_name_Hall 'P 2 -2'
loop_
_atom_site_label
_atom_site_type_symbol
_atom_site_fract_x
_atom_site_fract_y
_atom_site_fract_z
Pm1 Pm 0.000 0.000 0.000
Pm2 Pm 0.000 0.500 0.497
Pm3 Pm 0.500 0.000 0.280
Pm4 Pm 0.500 0.500 0.779
Co1 Co 0.000 0.000 0.696
Co2 Co 0.000 0.500 0.203
Co3 Co 0.500 0.000 0.584
Ni1 Ni 0.500 0.500 0.075
```



Record 12
Diffraction record for Pm2CoSi3Ni12. The XRD peak list is simulated, not measured: it uses the GGA-PBE geometry in Alexandria and Cu Kα.
Intensities are scaled so that the largest is 100.

Largest 10 diffraction maxima, in order of rising 2θ, 5° ≤ 2θ ≤ 70°:
2θ (°), Rel. int., index
30.7, 34, 1 0 7
31.4, 100, 1 1 3
36.8, 56, 1 1 6
37.1, 82, 0 2 4
40.6, 33, 1 0 10
44.2, 28, 0 1 11
45.4, 30, 2 0 8
46.1, 39, 1 2 2
57.0, 35, 3 0 6
60.8, 35, 2 2 0

```
data_Pm2CoSi3Ni12
_cell_length_a 6.0897
_cell_length_b 6.0897
_cell_length_c 24.4739
_cell_angle_alpha 90.00
_cell_angle_beta 90.00
_cell_angle_gamma 120.00
_space_group_name_H-M_alt 'R -3 m'
_space_group_IT_number 166
_space_group_name_Hall '-R 3 2"'
loop_
_atom_site_label
_atom_site_type_symbol
_atom_site_fract_x
_atom_site_fract_y
_atom_site_fract_z
Pm1 Pm 0.0000 0.0000 0.1523
Co1 Co 0.0000 0.0000 0.5000
Si1 Si 0.0000 0.5000 0.0000
Ni1 Ni 0.0562 0.5281 0.0944
Ni2 Ni 0.0651 0.5325 0.6221
```